# Pr8Sm4Er
Simulated PXRD pattern, λ = 1.5418 Å (Cu Kα). Input: a DFT-relaxed cell (PBE, Alexandria).

Peak list (6 most intense, 2θ = 15–90°, sorted by position)
2θ/deg  Rel. int.
22.53  29.3
27.11  17.4
30.02  100.0
37.86  45.9
53.31  20.0
55.90  17.3

Cell: 7.927 7.927 7.927 Å, 97.36 97.36 97.36°
Fractional coordinates of all 13 atoms:
1 Pr 0.169 0.169 0.669
2 Pr 0.169 0.669 0.169
3 Pr 0.242 0.242 0.242
4 Pr 0.331 0.831 0.831
5 Pr 0.669 0.169 0.169
6 Pr 0.758 0.758 0.758
7 Pr 0.831 0.331 0.831
8 Pr 0.831 0.831 0.331
9 Sm 0.000 0.000 0.000
10 Sm 0.000 0.500 0.500
11 Sm 0.500 0.000 0.500
12 Sm 0.500 0.500 0.000
13 Er 0.500 0.500 0.500


# DyHo10Sc6
Simulated PXRD pattern, λ = 1.5418 Å (Cu Kα). Input: a DFT-relaxed cell (PBE, Alexandria).

Peak list (6 most intense, 2θ = 15–90°, sorted by position)
2θ/deg  Rel. int.
23.36  22.6
32.31  18.7
33.28  100.0
47.77  16.0
59.46  25.1
79.62  9.3

Cell: 9.328 9.328 6.594 Å, 90.00 90.00 120.00°
Fractional coordinates of all 17 atoms:
1 Dy 0.000 0.000 0.000
2 Ho 0.000 0.282 0.682
3 Ho 0.000 0.718 0.318
4 Ho 0.282 0.000 0.682
5 Ho 0.282 0.282 0.318
6 Ho 0.333 0.667 0.000
7 Ho 0.333 0.667 0.500
8 Ho 0.667 0.333 0.000
9 Ho 0.667 0.333 0.500
10 Ho 0.718 0.000 0.318
11 Ho 0.718 0.718 0.682
12 Sc 0.000 0.369 0.183
13 Sc 0.000 0.631 0.817
14 Sc 0.369 0.000 0.183
15 Sc 0.369 0.369 0.817
16 Sc 0.631 0.000 0.817
17 Sc 0.631 0.631 0.183


# KCu2SnTe4
Simulated PXRD pattern, λ = 1.5418 Å (Cu Kα). Input: a DFT-relaxed cell (PBE, Alexandria).

Peak list (6 most intense, 2θ = 15–90°, sorted by position)
2θ/deg  Rel. int.
25.75  100.0
26.06  52.9
32.20  25.9
32.53  64.3
43.92  34.1
44.86  23.7

Cell: 7.160 7.160 7.160 Å, 120.34 105.44 103.22°
Fractional coordinates of all 8 atoms:
1 K 0.000 0.000 0.000
2 Cu 0.359 0.859 0.500
3 Cu 0.641 0.141 0.500
4 Sn 0.500 0.500 0.000
5 Te 0.141 0.090 0.575
6 Te 0.485 0.910 0.051
7 Te 0.515 0.566 0.425
8 Te 0.859 0.434 0.949


# Tc3PPt
Simulated PXRD pattern, λ = 1.5418 Å (Cu Kα). Input: a DFT-relaxed cell (PBE, Alexandria).

Peak list (6 most intense, 2θ = 15–90°, sorted by position)
2θ/deg  Rel. int.
29.18  17.7
35.94  100.0
41.73  63.0
60.50  41.6
72.41  38.2
76.19  14.0

Cell: 4.329 4.329 4.329 Å, 90.00 90.00 90.00°
Fractional coordinates of all 5 atoms:
1 Tc 0.000 0.000 0.500
2 Tc 0.000 0.500 0.000
3 Tc 0.500 0.000 0.000
4 P 0.000 0.000 0.000
5 Pt 0.500 0.500 0.500


# Ba2YC2O6F3
Simulated PXRD pattern, λ = 1.5418 Å (Cu Kα). Input: a DFT-relaxed cell (PBE, Alexandria).

Peak list (6 most intense, 2θ = 15–90°, sorted by position)
2θ/deg  Rel. int.
23.61  100.0
25.14  31.2
27.38  79.3
30.82  30.8
31.45  29.5
45.70  48.1

Cell: 9.596 7.084 11.906 Å, 90.00 90.00 90.00°
Fractional coordinates of all 56 atoms:
1 Ba 0.120 0.238 0.071
2 Ba 0.120 0.762 0.571
3 Ba 0.380 0.262 0.571
4 Ba 0.380 0.738 0.071
5 Ba 0.620 0.262 0.929
6 Ba 0.620 0.738 0.429
7 Ba 0.880 0.238 0.429
8 Ba 0.880 0.762 0.929
9 Y 0.000 0.228 0.750
10 Y 0.000 0.772 0.250
11 Y 0.500 0.272 0.250
12 Y 0.500 0.728 0.750
13 C 0.194 0.480 0.320
14 C 0.194 0.520 0.820
15 C 0.306 0.020 0.820
16 C 0.306 0.980 0.320
17 C 0.694 0.020 0.680
18 C 0.694 0.980 0.180
19 C 0.806 0.480 0.180
20 C 0.806 0.520 0.680
21 O 0.091 0.478 0.887
22 O 0.091 0.522 0.387
23 O 0.185 0.457 0.717
24 O 0.185 0.543 0.217
25 O 0.203 0.120 0.854
26 O 0.203 0.880 0.354
27 O 0.297 0.380 0.354
28 O 0.297 0.620 0.854
29 O 0.315 0.043 0.217
30 O 0.315 0.957 0.717
31 O 0.409 0.022 0.387
32 O 0.409 0.978 0.887
33 O 0.591 0.022 0.113
34 O 0.591 0.978 0.613
35 O 0.685 0.043 0.283
36 O 0.685 0.957 0.783
37 O 0.703 0.380 0.146
38 O 0.703 0.620 0.646
39 O 0.797 0.120 0.646
40 O 0.797 0.880 0.146
41 O 0.815 0.457 0.783
42 O 0.815 0.543 0.283
43 O 0.909 0.478 0.613
44 O 0.909 0.522 0.113
45 F 0.000 0.099 0.250
46 F 0.000 0.901 0.750
47 F 0.094 0.150 0.578
48 F 0.094 0.850 0.078
49 F 0.406 0.350 0.078
50 F 0.406 0.650 0.578
51 F 0.500 0.401 0.750
52 F 0.500 0.599 0.250
53 F 0.594 0.350 0.422
54 F 0.594 0.650 0.922
55 F 0.906 0.150 0.922
56 F 0.906 0.850 0.422


# ThSbC
Simulated PXRD pattern, λ = 1.5418 Å (Cu Kα). Input: a DFT-relaxed cell (PBE, Alexandria).

Peak list (6 most intense, 2θ = 15–90°, sorted by position)
2θ/deg  Rel. int.
21.28  69.1
28.82  100.0
33.49  35.6
33.97  39.4
36.10  64.7
53.78  33.1

Cell: 8.912 8.912 8.912 Å, 152.08 150.98 40.71°
Fractional coordinates of all 6 atoms:
1 Th 0.124 0.124 0.000
2 Th 0.876 0.876 0.000
3 Sb 0.322 0.322 0.000
4 Sb 0.678 0.678 0.000
5 C 0.000 0.352 0.352
6 C 0.000 0.648 0.648


# Ir2Cl
Simulated PXRD pattern, λ = 1.5418 Å (Cu Kα). Input: a DFT-relaxed cell (PBE, Alexandria).

Peak list (6 most intense, 2θ = 15–90°, sorted by position)
2θ/deg  Rel. int.
16.91  100.0
36.38  78.5
41.21  83.5
44.85  58.9
54.58  26.8
68.75  24.8

Cell: 5.702 5.702 5.702 Å, 151.45 144.36 46.29°
Fractional coordinates of all 3 atoms:
1 Ir 0.190 0.190 0.000
2 Ir 0.810 0.810 0.000
3 Cl 0.500 0.000 0.500


# Sr3Li2Sb4Rh2
Simulated PXRD pattern, λ = 1.5418 Å (Cu Kα). Input: a DFT-relaxed cell (PBE, Alexandria).

Peak list (6 most intense, 2θ = 15–90°, sorted by position)
2θ/deg  Rel. int.
23.10  37.2
25.01  70.8
27.94  46.4
31.61  80.4
39.36  100.0
56.61  48.5

Cell: 4.579 4.579 16.167 Å, 90.00 90.00 120.00°
Fractional coordinates of all 11 atoms:
1 Sr 0.000 0.000 0.000
2 Sr 0.000 0.000 0.274
3 Sr 0.000 0.000 0.726
4 Li 0.333 0.667 0.135
5 Li 0.667 0.333 0.865
6 Sb 0.333 0.667 0.406
7 Sb 0.333 0.667 0.864
8 Sb 0.667 0.333 0.136
9 Sb 0.667 0.333 0.594
10 Rh 0.333 0.667 0.565
11 Rh 0.667 0.333 0.435